No. 1
# MnFe2H4
Computed powder X-ray diffraction pattern, CuKα. Input: the PBE geometry in Alexandria.
No peak broadening, texture or thermal motion is included.

Atomic structure:
Cell: 2.697 8.625 7.774 Å, 90.00 90.00 90.00°
Space group Cmcm (No. 63)
Symmetry-distinct sites (fractional):
Mn  0.000  0.099  0.250
Fe  0.000  0.362  0.067
H  0.000  0.000  0.000
H  0.000  0.267  0.628
H  0.000  0.466  0.250

The 10 most intense peaks (10 to 90 degrees two-theta), low angle first:
Position (°2θ)	d/Å	I (rel.)	hkl
36.8	2.444	460	1 1 1
40.6	2.221	1000	0 2 3
41.9	2.156	394	0 4 0
42.1	2.146	602	1 1 2
46.1	1.967	191	1 3 0
47.7	1.907	296	1 3 1
52.1	1.755	252	1 3 2
69.7	1.348	150	2 0 0
70.8	1.331	157	1 1 5
84.0	1.153	203	2 2 3



No. 2
# NdH8Ir2Pd
Computed powder X-ray diffraction pattern, CuKα. Input: the PBE geometry in Alexandria.
No peak broadening, texture or thermal motion is included.

Atomic structure:
Cell: 4.8353 4.8353 16.3631 Å, 90.00 90.00 120.00°
Space group R-3 (No. 148, hexagonal axes)
Symmetry-distinct sites (fractional):
Nd  0.0000  0.0000  0.0000
H  0.0000  0.0000  0.3146
H  0.0034  0.6975  0.1147
Ir  0.0000  0.0000  0.2140
Pd  0.0000  0.0000  0.5000

The 10 most intense peaks (10 to 90 degrees two-theta), low angle first:
Position (°2θ)	d/Å	I (rel.)	hkl
16.3	5.454	270	0 0 3
30.6	2.926	1000	1 0 4
34.8	2.579	422	0 1 5
37.2	2.418	997	1 1 0
40.8	2.210	151	2 -1 3
44.4	2.041	179	1 0 7
48.9	1.864	275	0 2 4
60.8	1.524	148	1 0 10
63.0	1.476	256	2 1 4
67.1	1.396	182	3 0 0



No. 3
# V12CrGe3
Computed powder X-ray diffraction pattern, CuKα. Input: the PBE geometry in Alexandria.
No peak broadening, texture or thermal motion is included.

Atomic structure:
Cell: 4.741 4.753 9.473 Å, 90.00 90.00 90.00°
Space group Pmmm (No. 47)
Symmetry-distinct sites (fractional):
V  0.000  0.000  0.119
V  0.000  0.000  0.372
V  0.249  0.500  0.500
V  0.256  0.500  0.000
V  0.500  0.244  0.244
Cr  0.500  0.000  0.000
Ge  0.000  0.500  0.250
Ge  0.500  0.000  0.500

The 10 most intense peaks (10 to 90 degrees two-theta), low angle first:
Position (°2θ)	d/Å	I (rel.)	hkl
37.9	2.373	319	2 0 0
38.0	2.368	158	0 0 4
42.6	2.122	619	2 0 2
42.7	2.119	301	0 1 4
46.9	1.936	1000	1 1 4
71.7	1.317	91	0 3 4
71.8	1.314	77	2 0 6
74.8	1.269	224	2 3 2
75.0	1.267	231	3 1 4
81.2	1.185	97	4 0 0



No. 4
# Pd3PtAu2
Computed powder X-ray diffraction pattern, CuKα. Input: the PBE geometry in Alexandria.
No peak broadening, texture or thermal motion is included.

Atomic structure:
Cell: 2.835 2.835 12.138 Å, 90.00 90.00 90.00°
Space group P4/mmm (No. 123)
Symmetry-distinct sites (fractional):
Pd  0.000  0.000  0.000
Pd  0.000  0.000  0.340
Pt  0.500  0.500  0.500
Au  0.500  0.500  0.170

The 10 most intense peaks (10 to 90 degrees two-theta), low angle first:
Position (°2θ)	d/Å	I (rel.)	hkl
22.0	4.046	83	0 0 3
31.6	2.835	71	1 0 0
38.8	2.322	1000	1 0 3
44.8	2.023	164	0 0 6
45.2	2.005	325	1 1 0
65.6	1.424	211	1 1 6
65.9	1.417	106	2 0 0
78.5	1.218	124	1 0 9
79.2	1.210	254	2 1 3
83.2	1.161	111	2 0 6



No. 5
# In3Cu7
Computed powder X-ray diffraction pattern, CuKα. Input: the PBE geometry in Alexandria.
No peak broadening, texture or thermal motion is included.

Atomic structure:
Cell: 6.780 9.210 10.076 Å, 106.32 96.88 90.13°
Space group P-1 (No. 2)
Symmetry-distinct sites (fractional):
In  0.021  0.138  0.377
In  0.118  0.494  0.364
In  0.175  0.664  0.106
In  0.292  0.030  0.057
In  0.357  0.234  0.818
In  0.422  0.781  0.481
Cu  0.028  0.087  0.866
Cu  0.042  0.812  0.350
Cu  0.061  0.793  0.868
Cu  0.166  0.500  0.841
Cu  0.198  0.356  0.063
Cu  0.226  0.350  0.585
Cu  0.257  0.642  0.665
Cu  0.272  0.049  0.564
Cu  0.346  0.926  0.773
Cu  0.346  0.960  0.304
Cu  0.359  0.261  0.288
Cu  0.431  0.734  0.915
Cu  0.470  0.517  0.250
Cu  0.500  0.500  0.000
Cu  0.500  0.500  0.500

The 10 most intense peaks (10 to 90 degrees two-theta), low angle first:
Position (°2θ)	d/Å	I (rel.)	hkl
29.4	3.035	282	0 2 -3
34.3	2.618	303	2 2 -2
39.9	2.257	160	2 -3 0
41.3	2.185	670	-1 3 2
41.5	2.175	1000	1 0 4
41.8	2.159	369	1 4 -2
41.9	2.156	986	2 -3 2
42.3	2.136	818	1 3 -4
42.4	2.133	415	2 1 -4
43.6	2.074	179	1 3 2